# 1
Computed PXRD pattern of Th2SnSe2Br4 for Cu Ka, from a structure optimized by DFT (PBE).

```
data_Th2SnSe2Br4
_cell_length_a 3.8290
_cell_length_b 3.8290
_cell_length_c 23.1399
_cell_angle_alpha 90.00
_cell_angle_beta 90.00
_cell_angle_gamma 120.00
_space_group_name_H-M_alt 'P 3 m 1'
_space_group_IT_number 156
loop_
_space_group_symop_operation_xyz
'x,y,z'
'-y,x-y,z'
'-x+y,-x,z'
'-y,-x,z'
'-x+y,y,z'
'x,x-y,z'
loop_
_atom_site_label
_atom_site_type_symbol
_atom_site_fract_x
_atom_site_fract_y
_atom_site_fract_z
_atom_site_occupancy
Th1 Th 0.0000 0.0000 0.0000 1
Th2 Th 0.3333 0.6667 0.3479 1
Sn1 Sn 0.3333 0.6667 0.6859 1
Se1 Se 0.0000 0.0000 0.6115 1
Se2 Se 0.0000 0.0000 0.7606 1
Br1 Br 0.0000 0.0000 0.2574 1
Br2 Br 0.0000 0.0000 0.4376 1
Br3 Br 0.3333 0.6667 0.0906 1
Br4 Br 0.3333 0.6667 0.9105 1
```

Peak list (6 most intense, 10° ≤ 2θ ≤ 90°, sorted by position)
| hkl | 2θ/deg | Rel. int. |
| --- | --- | --- |
| 0 0 3 | 11.47 | 100 |
| 1 0 0 | 26.89 | 42 |
| 1 0 4 | 31.09 | 53 |
| 1 0 5 | 33.24 | 59 |
| 0 1 7 | 38.45 | 28 |
| 1 1 0 | 47.49 | 35 |

---

# 2
Computed PXRD pattern of AgSb2Rh2 for Cu Ka, from a structure optimized by DFT (PBE).

```
data_AgSb2Rh2
_cell_length_a 4.139
_cell_length_b 4.139
_cell_length_c 12.401
_cell_angle_alpha 90.00
_cell_angle_beta 90.00
_cell_angle_gamma 90.00
_space_group_name_H-M_alt 'I 4/m m m'
_space_group_IT_number 139
_space_group_name_Hall '-I 4 2'
loop_
_atom_site_label
_atom_site_type_symbol
_atom_site_fract_x
_atom_site_fract_y
_atom_site_fract_z
_atom_site_occupancy
Ag1 Ag 0.000 0.000 0.000 1
Sb1 Sb 0.000 0.000 0.378 1
Rh1 Rh 0.000 0.500 0.250 1
```

Peak list (6 most intense, 10° ≤ 2θ ≤ 90°, sorted by position)
| hkl | 2θ/deg | Rel. int. |
| --- | --- | --- |
| 1 0 3 | 30.56 | 100 |
| 1 1 2 | 33.87 | 99 |
| 1 1 4 | 42.48 | 97 |
| 2 0 0 | 43.74 | 71 |
| 1 1 6 | 54.31 | 53 |
| 2 1 5 | 62.62 | 26 |

---

# 3
Computed PXRD pattern of Cd7Ag5Sn for Cu Ka, from a structure optimized by DFT (PBE).

```
data_Cd7Ag5Sn
_cell_length_a 5.761
_cell_length_b 9.867
_cell_length_c 9.768
_cell_angle_alpha 90.00
_cell_angle_beta 90.00
_cell_angle_gamma 90.00
_space_group_name_H-M_alt 'I m m 2'
_space_group_IT_number 44
loop_
_space_group_symop_operation_xyz
'x,y,z'
'-x,-y,z'
'-x,y,z'
'x,-y,z'
'x+1/2,y+1/2,z+1/2'
'-x+1/2,-y+1/2,z+1/2'
'-x+1/2,y+1/2,z+1/2'
'x+1/2,-y+1/2,z+1/2'
loop_
_atom_site_label
_atom_site_type_symbol
_atom_site_fract_x
_atom_site_fract_y
_atom_site_fract_z
_atom_site_occupancy
Cd1 Cd 0.000 0.000 0.000 1
Cd2 Cd 0.000 0.000 0.313 1
Cd3 Cd 0.000 0.306 0.147 1
Cd4 Cd 0.000 0.342 0.654 1
Cd5 Cd 0.000 0.500 0.378 1
Ag1 Ag 0.000 0.500 0.918 1
Ag2 Ag 0.250 0.249 0.900 1
Sn1 Sn 0.000 0.000 0.649 1
```

Peak list (6 most intense, 10° ≤ 2θ ≤ 90°, sorted by position)
| hkl | 2θ/deg | Rel. int. |
| --- | --- | --- |
| 2 2 0 | 36.15 | 84 |
| 0 4 0 | 36.44 | 100 |
| 1 2 3 | 36.56 | 39 |
| 0 0 4 | 36.81 | 42 |
| 2 2 2 | 40.70 | 89 |
| 0 2 4 | 41.21 | 36 |